(1)
Computed PXRD pattern of AcTbPr2Nd6 for Cu Kα X-rays, from a structure optimized by DFT (GGA-PBE).
Peak positions follow from Bragg's law for the DFT cell and can differ from measured ones.

Top 12 peaks for 2θ from 10° to 90°, low angle first:
2θ/deg  I/Imax
27.29  509
29.46  360
29.65  457
29.99  1000
30.43  311
31.03  155
32.70  437
33.54  117
45.17  103
52.18  101
57.23  128
60.28  108

Crystal structure
```
AcTbPr2Nd6
1.0
4.7032 -7.8649 0.0000
4.7032 7.8649 0.0000
-1.0977 0.0000 9.8587
Ac Tb Pr Nd
2 2 4 12
Direct
0.0222 0.9778 0.7500 Ac
0.9778 0.0222 0.2500 Ac
0.4099 0.5901 0.2500 Tb
0.5901 0.4099 0.7500 Tb
0.1971 0.3115 0.5447 Pr
0.3115 0.1971 0.0447 Pr
0.6885 0.8029 0.9553 Pr
0.8029 0.6885 0.4553 Pr
0.0163 0.5638 0.6883 Nd
0.1281 0.7467 0.0546 Nd
0.2533 0.8719 0.4454 Nd
0.2914 0.5014 0.8829 Nd
0.4362 0.9837 0.8117 Nd
0.4986 0.7086 0.6171 Nd
0.5014 0.2914 0.3829 Nd
0.5638 0.0163 0.1883 Nd
0.7086 0.4986 0.1171 Nd
0.7467 0.1281 0.5546 Nd
0.8719 0.2533 0.9454 Nd
0.9837 0.4362 0.3117 Nd
```

(2)
Computed PXRD pattern of Tl2ZnCdAg for Cu Kα X-rays, from a structure optimized by DFT (GGA-PBE).
Peak positions follow from Bragg's law for the DFT cell and can differ from measured ones.

Top 12 peaks for 2θ from 10° to 90°, low angle first:
2θ/deg  I/Imax
28.25  529
30.22  633
31.76  316
32.57  537
33.65  570
34.16  1000
36.38  736
36.77  273
37.87  696
40.10  350
40.34  270
53.81  268

Crystal structure
```
Tl2ZnCdAg
1.0
3.3150 0.0000 0.0000
-1.5545 5.5523 0.0000
-0.3897 -0.8842 6.4319
Tl Zn Cd Ag
2 1 1 1
Direct
0.0000 0.0000 0.0000 Tl
0.3595 0.4719 0.7430 Tl
0.6932 0.2743 0.3601 Zn
0.0148 0.9014 0.5083 Cd
0.3294 0.5906 0.2051 Ag
```

(3)
Computed PXRD pattern of Ho6VSn10 for Cu Kα X-rays, from a structure optimized by DFT (GGA-PBE).
Peak positions follow from Bragg's law for the DFT cell and can differ from measured ones.

Top 12 peaks for 2θ from 10° to 90°, low angle first:
2θ/deg  I/Imax
24.38  136
29.06  172
30.08  211
33.51  1000
34.23  410
35.28  675
42.47  165
44.08  137
49.97  168
54.41  214
66.86  217
71.14  97

Crystal structure
```
Ho6VSn10
1.0
9.0749 0.0000 0.0000
-4.5374 7.8591 0.0000
0.0000 0.0000 6.1455
Ho V Sn
6 1 10
Direct
0.0000 0.3919 0.2463 Ho
0.0000 0.6081 0.7537 Ho
0.3919 0.0000 0.2463 Ho
0.3919 0.3919 0.7537 Ho
0.6081 0.0000 0.7537 Ho
0.6081 0.6081 0.2463 Ho
0.0000 0.0000 0.0000 V
0.0000 0.2304 0.7181 Sn
0.0000 0.7696 0.2819 Sn
0.2304 0.0000 0.7181 Sn
0.2304 0.2304 0.2819 Sn
0.3333 0.6667 0.0000 Sn
0.3333 0.6667 0.5000 Sn
0.6667 0.3333 0.0000 Sn
0.6667 0.3333 0.5000 Sn
0.7696 0.0000 0.2819 Sn
0.7696 0.7696 0.7181 Sn
```

(4)
Computed PXRD pattern of Sm2Dy2Co for Cu Kα X-rays, from a structure optimized by DFT (GGA-PBE).
Peak positions follow from Bragg's law for the DFT cell and can differ from measured ones.

Top 12 peaks for 2θ from 10° to 90°, low angle first:
2θ/deg  I/Imax
27.10  708
29.71  334
34.46  1000
37.16  587
46.13  177
48.28  355
53.57  204
60.27  163
61.05  149
62.46  165
65.27  310
84.85  128

Crystal structure
```
Sm2Dy2Co
1.0
-2.4193 2.4193 12.0283
2.4193 -2.4193 12.0283
2.4193 2.4193 -12.0283
Sm Dy Co
4 4 2
Direct
0.0573 0.3073 0.7500 Sm
0.3073 0.0573 0.2500 Sm
0.6927 0.9427 0.7500 Sm
0.9427 0.6927 0.2500 Sm
0.1913 0.4413 0.7500 Dy
0.4413 0.1913 0.2500 Dy
0.5587 0.8087 0.7500 Dy
0.8087 0.5587 0.2500 Dy
0.1250 0.8750 0.2500 Co
0.8750 0.1250 0.7500 Co
```

(5)
Computed PXRD pattern of MnTlGeSe4 for Cu Kα X-rays, from a structure optimized by DFT (GGA-PBE).
Peak positions follow from Bragg's law for the DFT cell and can differ from measured ones.

Top 12 peaks for 2θ from 10° to 90°, low angle first:
2θ/deg  I/Imax
13.90  340
20.40  541
23.30  444
26.12  1000
28.01  286
30.89  380
36.52  205
37.53  349
41.48  197
42.18  960
46.89  196
56.44  198

Crystal structure
```
MnTlGeSe4
1.0
4.3535 -6.3705 0.0000
4.3535 6.3705 0.0000
0.0000 0.0000 7.7506
Mn Tl Ge Se
2 2 2 8
Direct
0.1275 0.8725 0.7500 Mn
0.8725 0.1275 0.2500 Mn
0.5000 0.5000 0.0000 Tl
0.5000 0.5000 0.5000 Tl
0.1352 0.8648 0.2500 Ge
0.8648 0.1352 0.7500 Ge
0.1972 0.2061 0.7500 Se
0.2061 0.1972 0.2500 Se
0.2449 0.7551 0.0010 Se
0.2449 0.7551 0.4990 Se
0.7551 0.2449 0.5010 Se
0.7551 0.2449 0.9990 Se
0.7939 0.8028 0.7500 Se
0.8028 0.7939 0.2500 Se
```

(6)
Computed PXRD pattern of CdPd2Pb for Cu Kα X-rays, from a structure optimized by DFT (GGA-PBE).
Peak positions follow from Bragg's law for the DFT cell and can differ from measured ones.

Top 12 peaks for 2θ from 10° to 90°, low angle first:
2θ/deg  I/Imax
30.96  210
34.08  559
34.67  818
37.53  242
39.22  1000
40.04  733
47.17  162
48.01  211
50.78  210
61.90  156
64.60  187
66.34  198

Crystal structure
```
CdPd2Pb
1.0
5.2682 0.0000 0.0000
0.0000 5.7767 0.0000
-4.7236 0.0000 10.3498
Cd Pd Pb
4 8 4
Direct
0.1741 0.1483 0.1217 Cd
0.1741 0.8517 0.6217 Cd
0.8259 0.1483 0.3783 Cd
0.8259 0.8517 0.8783 Cd
0.1705 0.3725 0.6155 Pd
0.1705 0.6275 0.1155 Pd
0.3089 0.3337 0.3677 Pd
0.3089 0.6663 0.8677 Pd
0.6911 0.3337 0.1323 Pd
0.6911 0.6663 0.6323 Pd
0.8295 0.3725 0.8845 Pd
0.8295 0.6275 0.3845 Pd
0.3276 0.1856 0.8724 Pb
0.3276 0.8144 0.3724 Pb
0.6724 0.1856 0.6276 Pb
0.6724 0.8144 0.1276 Pb
```

(7)
Computed PXRD pattern of SmTm2P3 for Cu Kα X-rays, from a structure optimized by DFT (GGA-PBE).
Peak positions follow from Bragg's law for the DFT cell and can differ from measured ones.

Top 11 peaks for 2θ from 10° to 90°, low angle first:
2θ/deg  I/Imax
27.28  882
31.60  1000
45.30  731
53.69  431
56.29  255
66.00  118
72.81  174
75.02  328
83.65  168
83.73  83
90.00  17

Crystal structure
```
SmTm2P3
1.0
4.0046 0.0000 0.0000
0.0000 5.6652 0.0000
0.0000 0.0000 12.0007
Sm Tm P
2 4 6
Direct
0.0000 0.0000 0.0000 Sm
0.5000 0.5000 0.5000 Sm
0.0000 0.0000 0.3340 Tm
0.0000 0.0000 0.6660 Tm
0.5000 0.5000 0.1660 Tm
0.5000 0.5000 0.8340 Tm
0.0000 0.5000 0.0000 P
0.0000 0.5000 0.3281 P
0.0000 0.5000 0.6719 P
0.5000 0.0000 0.1719 P
0.5000 0.0000 0.5000 P
0.5000 0.0000 0.8281 P
```

(8)
Computed PXRD pattern of Ca5Te4S for Cu Kα X-rays, from a structure optimized by DFT (GGA-PBE).
Peak positions follow from Bragg's law for the DFT cell and can differ from measured ones.

Top 12 peaks for 2θ from 10° to 90°, low angle first:
2θ/deg  I/Imax
24.50  273
24.69  263
28.35  522
28.54  1000
40.56  174
40.66  745
41.03  197
48.05  145
50.22  183
50.62  198
66.51  231
66.79  150

Crystal structure
```
Ca5Te4S
1.0
-2.1996 3.1481 11.1211
2.1996 -3.1481 11.1211
2.1996 3.1481 -11.1211
Ca Te S
5 4 1
Direct
0.0000 0.0000 0.0000 Ca
0.2029 0.2029 0.0000 Ca
0.4120 0.4120 0.0000 Ca
0.5880 0.5880 0.0000 Ca
0.7971 0.7971 0.0000 Ca
0.0993 0.5993 0.5000 Te
0.3053 0.8053 0.5000 Te
0.6947 0.1947 0.5000 Te
0.9007 0.4007 0.5000 Te
0.5000 0.0000 0.5000 S
```

(9)
Computed PXRD pattern of TiAg for Cu Kα X-rays, from a structure optimized by DFT (GGA-PBE).
Peak positions follow from Bragg's law for the DFT cell and can differ from measured ones.

Top 12 peaks for 2θ from 10° to 90°, low angle first:
2θ/deg  I/Imax
10.68  300
32.41  57
32.66  155
37.81  1000
43.69  158
44.07  319
55.76  47
63.80  190
64.09  97
76.34  105
76.88  222
80.79  95

Crystal structure
```
TiAg
1.0
2.9059 0.0000 0.0000
0.0000 2.9059 0.0000
0.0000 0.0000 8.2872
Ti Ag
2 2
Direct
0.2500 0.2500 0.1131 Ti
0.7500 0.7500 0.8869 Ti
0.2500 0.2500 0.6299 Ag
0.7500 0.7500 0.3701 Ag
```

(10)
Computed PXRD pattern of TlFeI4 for Cu Kα X-rays, from a structure optimized by DFT (GGA-PBE).
Peak positions follow from Bragg's law for the DFT cell and can differ from measured ones.

Top 12 peaks for 2θ from 10° to 90°, low angle first:
2θ/deg  I/Imax
15.42  709
25.28  1000
29.76  391
31.03  272
31.13  214
31.75  437
38.89  312
40.53  220
47.47  173
50.17  165
54.42  166
54.54  222

Crystal structure
```
TlFeI4
1.0
-5.7456 5.7456 4.4655
5.7456 -5.7456 4.4655
5.7456 5.7456 -4.4655
Tl Fe I
2 2 8
Direct
0.3750 0.6250 0.7500 Tl
0.6250 0.3750 0.2500 Tl
0.1250 0.8750 0.2500 Fe
0.8750 0.1250 0.7500 Fe
0.1330 0.7044 0.4285 I
0.2241 0.2956 0.9285 I
0.2956 0.2241 0.4285 I
0.2956 0.8670 0.0715 I
0.7044 0.1330 0.9285 I
0.7044 0.7759 0.5715 I
0.7759 0.7044 0.0715 I
0.8670 0.2956 0.5715 I
```

(11)
Computed PXRD pattern of LaPm3Ho6Er2 for Cu Kα X-rays, from a structure optimized by DFT (GGA-PBE).
Peak positions follow from Bragg's law for the DFT cell and can differ from measured ones.

Top 12 peaks for 2θ from 10° to 90°, low angle first:
2θ/deg  I/Imax
30.64  1000
30.73  331
35.56  674
51.11  241
51.22  239
60.81  429
60.93  142
63.81  124
75.28  77
83.34  119
86.03  111
86.21  110

Crystal structure
```
LaPm3Ho6Er2
1.0
3.0963 -5.3599 0.0000
3.0963 5.3599 0.0000
-2.0562 0.0000 11.6374
La Pm Ho Er
1 3 6 2
Direct
0.0000 0.0000 0.0000 La
0.1670 0.8330 0.5000 Pm
0.5000 0.5000 0.5000 Pm
0.8330 0.1670 0.5000 Pm
0.0834 0.4181 0.2491 Ho
0.2514 0.2514 0.7508 Ho
0.4181 0.0834 0.2491 Ho
0.5819 0.9166 0.7509 Ho
0.7486 0.7486 0.2492 Ho
0.9166 0.5819 0.7509 Ho
0.3332 0.6668 0.0000 Er
0.6668 0.3332 0.0000 Er
```

(12)
Computed PXRD pattern of Li2SnCCl for Cu Kα X-rays, from a structure optimized by DFT (GGA-PBE).
Peak positions follow from Bragg's law for the DFT cell and can differ from measured ones.

Top 12 peaks for 2θ from 10° to 90°, low angle first:
2θ/deg  I/Imax
19.44  764
20.39  703
27.63  929
28.32  359
34.58  1000
39.47  443
44.36  196
44.82  368
49.29  197
50.56  331
58.58  271
68.45  283

Crystal structure
```
Li2SnCCl
1.0
4.5661 0.0000 0.0000
0.0000 4.5661 0.0000
0.0000 0.0000 4.3554
Li Sn C Cl
2 1 1 1
Direct
0.0000 0.5000 0.0000 Li
0.5000 0.0000 0.0000 Li
0.0000 0.0000 0.5000 Sn
0.0000 0.0000 0.0000 C
0.5000 0.5000 0.5000 Cl
```